This entry pairs a crystal structure of PmZn7 with its simulated X-ray powder pattern. Radiation: λ = 1.5418 Å (Cu Kα). Structure: the PBE geometry in Alexandria.
Intensities are scaled so that the largest is 100.

Top 10 peaks for 5° ≤ 2θ ≤ 70°, low angle first:
| d [Å] | intensity |
| --- | --- |
| 2.830 | 45 |
| 2.561 | 100 |
| 2.538 | 44 |
| 2.530 | 45 |
| 2.335 | 20 |
| 2.051 | 66 |
| 2.046 | 23 |
| 1.955 | 39 |
| 1.893 | 22 |
| 1.417 | 19 |

Structural model:
Cell: 6.452 6.452 3.910 Å, 107.48 107.48 67.87°
Atoms (fractional coordinates):
Pm: 0.000 0.000 0.000
Zn: 0.177 0.551 0.365
Zn: 0.246 0.246 0.748
Zn: 0.449 0.823 0.635
Zn: 0.500 0.500 0.000
Zn: 0.551 0.177 0.365
Zn: 0.754 0.754 0.252
Zn: 0.823 0.449 0.635



This entry pairs a crystal structure of K4PtAu with its simulated X-ray powder pattern. Radiation: λ = 1.5418 Å (Cu Kα). Structure: the PBE geometry in Alexandria.
Intensities are scaled so that the largest is 100.

Top 10 peaks for 5° ≤ 2θ ≤ 70°, low angle first:
| d [Å] | intensity |
| --- | --- |
| 6.001 | 100 |
| 4.243 | 30 |
| 3.000 | 31 |
| 2.684 | 49 |
| 2.603 | 38 |
| 2.388 | 39 |
| 1.966 | 20 |
| 1.898 | 15 |
| 1.645 | 15 |
| 1.442 | 13 |

Structural model:
Cell: 8.486 8.486 5.778 Å, 90.00 90.00 90.00°
Atoms (fractional coordinates):
K: 0.165 0.315 0.000
K: 0.165 0.685 0.500
K: 0.315 0.165 0.500
K: 0.315 0.835 0.000
K: 0.685 0.165 0.000
K: 0.685 0.835 0.500
K: 0.835 0.315 0.500
K: 0.835 0.685 0.000
Pt: 0.000 0.000 0.250
Pt: 0.000 0.000 0.750
Au: 0.500 0.500 0.250
Au: 0.500 0.500 0.750



This entry pairs a crystal structure of K9Nb2As6 with its simulated X-ray powder pattern. Radiation: λ = 1.5418 Å (Cu Kα). Structure: the PBE geometry in Alexandria.
Intensities are scaled so that the largest is 100.

Top 10 peaks for 5° ≤ 2θ ≤ 70°, low angle first:
| d [Å] | intensity |
| --- | --- |
| 9.383 | 50 |
| 7.498 | 100 |
| 5.591 | 37 |
| 3.143 | 38 |
| 3.131 | 32 |
| 2.979 | 36 |
| 2.962 | 35 |
| 2.938 | 44 |
| 2.628 | 67 |
| 2.531 | 41 |

Structural model:
Cell: 9.436 9.226 12.944 Å, 90.00 96.10 90.00°
Atoms (fractional coordinates):
K: 0.000 0.019 0.000
K: 0.000 0.981 0.500
K: 0.225 0.331 0.458
K: 0.225 0.669 0.958
K: 0.226 0.436 0.183
K: 0.226 0.564 0.683
K: 0.410 0.151 0.125
K: 0.410 0.849 0.625
K: 0.454 0.062 0.397
K: 0.454 0.938 0.897
K: 0.623 0.428 0.574
K: 0.623 0.572 0.074
K: 0.760 0.090 0.727
K: 0.760 0.910 0.227
K: 0.838 0.307 0.194
K: 0.838 0.693 0.694
K: 0.898 0.435 0.895
K: 0.898 0.565 0.395
Nb: 0.166 0.180 0.745
Nb: 0.166 0.820 0.245
Nb: 0.481 0.336 0.849
Nb: 0.481 0.664 0.349
As: 0.106 0.082 0.265
As: 0.106 0.918 0.765
As: 0.236 0.311 0.919
As: 0.236 0.689 0.419
As: 0.411 0.199 0.677
As: 0.411 0.801 0.177
As: 0.549 0.408 0.315
As: 0.549 0.592 0.815
As: 0.668 0.207 0.968
As: 0.668 0.793 0.468
As: 0.978 0.322 0.636
As: 0.978 0.678 0.136